Diffraction record for TlCuPtSe3. The X-ray diffraction stick pattern is simulated, not measured: it uses a structure optimized by DFT (PBE) and Cu Kα.
No peak broadening, texture or thermal motion is included.

Principal peaks in the range 2θ from 10° to 90°, sorted by position:
d = 4.387 Å, 20.24 deg, intensity 679; d = 3.463 Å, 25.73 deg, intensity 141; d = 3.272 Å, 27.25 deg, intensity 149; d = 3.002 Å, 29.76 deg, intensity 1000; d = 2.831 Å, 31.61 deg, intensity 418; d = 2.820 Å, 31.73 deg, intensity 221; d = 2.358 Å, 38.17 deg, intensity 176; d = 2.074 Å, 43.64 deg, intensity 692; d = 1.969 Å, 46.09 deg, intensity 293; d = 1.735 Å, 52.77 deg, intensity 148

Atomic structure:
```
TlCuPtSe3
1.0
9.770 0.000 0.000
0.000 3.938 0.000
0.000 0.000 14.727
Tl Cu Pt Se
4 4 4 12
Direct
0.019 0.250 0.175
0.481 0.750 0.675
0.519 0.250 0.325
0.981 0.750 0.825
0.230 0.750 0.164
0.270 0.250 0.664
0.730 0.750 0.336
0.770 0.250 0.836
0.147 0.750 0.452
0.353 0.250 0.952
0.647 0.750 0.048
0.853 0.250 0.548
0.005 0.750 0.596
0.201 0.250 0.812
0.206 0.750 0.008
0.294 0.250 0.507
0.299 0.750 0.312
0.495 0.250 0.096
0.505 0.750 0.904
0.701 0.250 0.688
0.706 0.750 0.492
0.794 0.250 0.992
0.799 0.750 0.188
0.995 0.250 0.404
```

---

Diffraction record for TlCuTe3Pt. The X-ray diffraction stick pattern is simulated, not measured: it uses a structure optimized by DFT (PBE) and Cu Kα.
No peak broadening, texture or thermal motion is included.

Principal peaks in the range 2θ from 10° to 90°, sorted by position:
d = 8.805 Å, 10.05 deg, intensity 112; d = 4.387 Å, 20.24 deg, intensity 236; d = 3.627 Å, 24.55 deg, intensity 105; d = 3.247 Å, 27.47 deg, intensity 115; d = 3.019 Å, 29.59 deg, intensity 1000; d = 2.732 Å, 32.78 deg, intensity 183; d = 2.582 Å, 34.74 deg, intensity 109; d = 2.077 Å, 43.57 deg, intensity 201; d = 2.068 Å, 43.77 deg, intensity 227; d = 1.710 Å, 53.59 deg, intensity 103

Atomic structure:
```
TlCuTe3Pt
1.0
14.307 0.000 0.000
0.000 4.155 0.000
0.000 0.000 11.170
Tl Cu Te Pt
4 4 12 4
Direct
0.158 0.250 0.019
0.342 0.750 0.519
0.658 0.250 0.481
0.842 0.750 0.981
0.203 0.750 0.252
0.297 0.250 0.752
0.703 0.750 0.248
0.797 0.250 0.748
0.028 0.750 0.221
0.104 0.250 0.509
0.197 0.750 0.782
0.303 0.250 0.282
0.396 0.750 0.009
0.472 0.250 0.721
0.528 0.750 0.279
0.604 0.250 0.991
0.697 0.750 0.718
0.803 0.250 0.218
0.896 0.750 0.491
0.972 0.250 0.779
0.040 0.750 0.645
0.460 0.250 0.145
0.540 0.750 0.855
0.960 0.250 0.355
```

---

Diffraction record for CuPt6W. The X-ray diffraction stick pattern is simulated, not measured: it uses a structure optimized by DFT (PBE) and Cu Kα.
No peak broadening, texture or thermal motion is included.

Principal peaks in the range 2θ from 10° to 90°, sorted by position:
d = 7.760 Å, 11.40 deg, intensity 39; d = 3.528 Å, 25.24 deg, intensity 20; d = 2.271 Å, 39.68 deg, intensity 1000; d = 1.981 Å, 45.81 deg, intensity 334; d = 1.940 Å, 46.83 deg, intensity 156; d = 1.401 Å, 66.79 deg, intensity 109; d = 1.386 Å, 67.59 deg, intensity 211; d = 1.192 Å, 80.58 deg, intensity 262; d = 1.174 Å, 82.07 deg, intensity 125; d = 1.136 Å, 85.51 deg, intensity 114

Atomic structure:
```
CuPt6W
1.0
3.962 0.000 0.000
0.000 3.962 0.000
0.000 0.000 7.760
Cu Pt W
1 6 1
Direct
0.000 0.000 0.000
0.000 0.500 0.253
0.000 0.500 0.747
0.500 0.000 0.253
0.500 0.000 0.747
0.500 0.500 0.000
0.500 0.500 0.500
0.000 0.000 0.500
```

---

Diffraction record for RbPuCuTeSe2. The X-ray diffraction stick pattern is simulated, not measured: it uses a structure optimized by DFT (PBE) and Cu Kα.
No peak broadening, texture or thermal motion is included.

Principal peaks in the range 2θ from 10° to 90°, sorted by position:
d = 7.998 Å, 11.06 deg, intensity 1000; d = 3.743 Å, 23.77 deg, intensity 137; d = 3.275 Å, 27.23 deg, intensity 286; d = 3.069 Å, 29.09 deg, intensity 566; d = 2.975 Å, 30.04 deg, intensity 253; d = 2.684 Å, 33.38 deg, intensity 163; d = 2.247 Å, 40.13 deg, intensity 164; d = 2.183 Å, 41.37 deg, intensity 258; d = 2.085 Å, 43.39 deg, intensity 223; d = 1.906 Å, 47.73 deg, intensity 143

Atomic structure:
```
RbPuCuTeSe2
1.0
9.095 0.000 0.000
0.000 4.171 0.000
-3.775 0.000 9.825
Rb Pu Cu Te Se
2 2 2 2 4
Direct
0.227 0.250 0.245
0.773 0.750 0.755
0.317 0.750 0.851
0.683 0.250 0.149
0.078 0.250 0.594
0.922 0.750 0.406
0.229 0.750 0.543
0.771 0.250 0.457
0.102 0.250 0.838
0.462 0.750 0.138
0.538 0.250 0.862
0.898 0.750 0.162
```

---

Diffraction record for PuTlCuSe2S. The X-ray diffraction stick pattern is simulated, not measured: it uses a structure optimized by DFT (PBE) and Cu Kα.
No peak broadening, texture or thermal motion is included.

Principal peaks in the range 2θ from 10° to 90°, sorted by position:
d = 7.339 Å, 12.06 deg, intensity 323; d = 3.920 Å, 22.68 deg, intensity 353; d = 3.712 Å, 23.97 deg, intensity 474; d = 3.669 Å, 24.26 deg, intensity 297; d = 3.197 Å, 27.90 deg, intensity 261; d = 2.890 Å, 30.94 deg, intensity 1000; d = 2.813 Å, 31.81 deg, intensity 262; d = 2.564 Å, 35.00 deg, intensity 419; d = 2.062 Å, 43.92 deg, intensity 239; d = 2.019 Å, 44.89 deg, intensity 346

Atomic structure:
```
PuTlCuSe2S
1.0
8.310 0.000 0.000
0.000 4.039 0.000
-3.308 0.000 9.417
Pu Tl Cu Se S
2 2 2 4 2
Direct
0.184 0.250 0.150
0.816 0.750 0.850
0.250 0.750 0.716
0.750 0.250 0.284
0.424 0.750 0.406
0.576 0.250 0.594
0.269 0.250 0.447
0.425 0.750 0.158
0.575 0.250 0.842
0.731 0.750 0.553
0.037 0.250 0.865
0.963 0.750 0.135
```

---

Diffraction record for PuTlCuTe2Se. The X-ray diffraction stick pattern is simulated, not measured: it uses a structure optimized by DFT (PBE) and Cu Kα.
No peak broadening, texture or thermal motion is included.

Principal peaks in the range 2θ from 10° to 90°, sorted by position:
d = 7.765 Å, 11.40 deg, intensity 259; d = 4.118 Å, 21.58 deg, intensity 188; d = 3.851 Å, 23.09 deg, intensity 193; d = 3.308 Å, 26.95 deg, intensity 197; d = 3.018 Å, 29.60 deg, intensity 1000; d = 2.933 Å, 30.48 deg, intensity 216; d = 2.688 Å, 33.34 deg, intensity 296; d = 2.644 Å, 33.90 deg, intensity 187; d = 2.170 Å, 41.62 deg, intensity 310; d = 2.089 Å, 43.31 deg, intensity 291

Atomic structure:
```
PuTlCuTe2Se
1.0
8.757 0.000 0.000
0.000 4.179 0.000
-3.584 0.000 9.925
Pu Tl Cu Te Se
2 2 2 4 2
Direct
0.181 0.250 0.149
0.819 0.750 0.851
0.239 0.750 0.719
0.761 0.250 0.281
0.422 0.750 0.405
0.578 0.250 0.595
0.263 0.250 0.453
0.438 0.750 0.158
0.562 0.250 0.842
0.737 0.750 0.547
0.044 0.250 0.863
0.956 0.750 0.137
```